Calculated XRD peak list
Compound: Bi3Pt2Pb
Radiation: Cu Kα
Structure: the PBE geometry in the Materials Project
Intensities are scaled so that the largest is 1000.

Principal peaks in the range 2θ from 10° to 90°, most intense first:
| d [Å] | I (rel.) | h k l |
| --- | --- | --- |
| 3.359 | 1000 | 1 1 0 |
| 2.015 | 923 | 0 1 3 |
| 3.028 | 898 | 1 1 -1 |
| 3.015 | 891 | 1 1 1 |
| 2.236 | 779 | 2 1 -1 |
| 2.226 | 773 | 2 1 1 |
| 2.972 | 714 | 1 0 -2 |
| 2.949 | 705 | 1 0 2 |

Structural model:
```
data_Bi3Pt2Pb
_chemical_formula_sum 'Bi3 Pt2 Pb1'
_symmetry_space_group_name_H-M 'P 1 m 1'
_symmetry_Int_Tables_number 6
_cell_length_a 5.728
_cell_length_b 4.147
_cell_length_c 6.917
_cell_angle_alpha 90.00
_cell_angle_beta 90.52
_cell_angle_gamma 90.00
loop_
_symmetry_equiv_pos_as_xyz
'x,y,z'
'x,-y,z'
loop_
_atom_site_label
_atom_site_fract_x
_atom_site_fract_y
_atom_site_fract_z
Bi1 0.000 0.000 0.000
Bi2 0.072 0.500 0.500
Bi3 0.571 0.000 0.275
Pt1 0.284 0.500 0.138
Pt2 0.789 0.000 0.636
Pb1 0.500 0.500 0.777
```